Nd5Ir3: theoretical X-ray powder pattern (λ = 1.5418 Å (Cu Kα)), based on DFT lattice parameters and positions (GGA-PBE).
Kinematic intensities with the Lorentz-polarization factor, no thermal factor.

Peak list (8 most intense, 10 to 80 degrees two-theta, in order of falling intensity)
2θ/deg	I (rel.)	(hkl)
35.70	100	4 2 0
32.70	41	2 1 2
28.59	34	3 1 1
31.80	32	3 2 1
22.33	28	2 1 1
37.39	25	3 1 2
45.40	22	2 1 3
36.50	21	3 0 2

Crystal structure
```
data_Nd5Ir3
_cell_length_a 11.242
_cell_length_b 11.242
_cell_length_c 6.531
_cell_angle_alpha 90.00
_cell_angle_beta 90.00
_cell_angle_gamma 90.00
_space_group_name_H-M_alt 'P 1'
_space_group_IT_number 1
_space_group_name_Hall 'P 1'
loop_
_atom_site_label
_atom_site_fract_x
_atom_site_fract_y
_atom_site_fract_z
_atom_site_occupancy
Nd1 0.042 0.160 0.121 1
Nd2 0.042 0.340 0.621 1
Nd3 0.160 0.042 0.621 1
Nd4 0.160 0.458 0.121 1
Nd5 0.250 0.750 0.000 1
Nd6 0.250 0.750 0.500 1
Nd7 0.340 0.042 0.121 1
Nd8 0.340 0.458 0.621 1
Nd9 0.458 0.160 0.621 1
Nd10 0.458 0.340 0.121 1
Nd11 0.542 0.660 0.879 1
Nd12 0.542 0.840 0.379 1
Nd13 0.660 0.542 0.379 1
Nd14 0.660 0.958 0.879 1
Nd15 0.750 0.250 0.000 1
Nd16 0.750 0.250 0.500 1
Nd17 0.840 0.542 0.879 1
Nd18 0.840 0.958 0.379 1
Nd19 0.958 0.660 0.379 1
Nd20 0.958 0.840 0.879 1
Ir1 0.096 0.596 0.750 1
Ir2 0.096 0.904 0.250 1
Ir3 0.250 0.250 0.383 1
Ir4 0.250 0.250 0.883 1
Ir5 0.404 0.596 0.250 1
Ir6 0.404 0.904 0.750 1
Ir7 0.596 0.096 0.250 1
Ir8 0.596 0.404 0.750 1
Ir9 0.750 0.750 0.117 1
Ir10 0.750 0.750 0.617 1
Ir11 0.904 0.096 0.750 1
Ir12 0.904 0.404 0.250 1
```